For MnCuAg2F6, a GGA+U-relaxed structure gives the simulated XRD peak list in this record (Cu Ka).
Kinematic intensities with the Lorentz-polarization factor, no thermal factor.

Largest 6 diffraction maxima, by angle, 2θ from 10° to 90°:
h k l, two_theta, d_spacing, I (rel.)
1 1 1, 30.15, 2.964, 1000
1 1 -3, 30.61, 2.921, 853
0 2 0, 31.70, 2.823, 373
2 0 -2, 32.02, 2.795, 378
0 0 4, 41.23, 2.189, 362
2 2 -2, 45.67, 1.986, 452

Structural model:
```
data_MnCuAg2F6
_chemical_formula_sum 'Mn2 Cu2 Ag4 F12'
_cell_length_a 5.592
_cell_length_b 5.646
_cell_length_c 10.295
_cell_angle_alpha 90.00
_cell_angle_beta 121.72
_cell_angle_gamma 90.00
_symmetry_space_group_name_H-M 'P 1 21/c 1'
_symmetry_Int_Tables_number 14
loop_
_symmetry_equiv_pos_as_xyz
'x,y,z'
'-x,-y,-z'
'-x,y+1/2,-z+1/2'
'x,-y+1/2,z+1/2'
loop_
_atom_site_label
_atom_site_type_symbol
_atom_site_fract_x
_atom_site_fract_y
_atom_site_fract_z
Mn1 Mn 0.000 0.000 0.000
Cu1 Cu 0.500 0.000 0.500
Ag1 Ag 0.265 0.041 0.752
F1 F 0.138 0.031 0.232
F2 F 0.275 0.694 0.053
F3 F 0.361 0.220 0.049
```